# Li5Fe4P4O16F
Calculated powder diffraction line list, CuKα. Input: a crystal structure in the Materials Project, relaxed with GGA+U.

Structure:
```
Li5Fe4P4O16F
1.0
-5.561 5.561 2.672
5.561 -5.561 2.672
5.561 5.561 -2.672
Li Fe P O F
5 4 4 16 1
direct
0.000 0.000 0.000 Li
0.167 0.496 0.552 Li
0.385 0.833 0.329 Li
0.504 0.056 0.671 Li
0.944 0.615 0.448 Li
0.305 0.585 0.958 Fe
0.415 0.373 0.721 Fe
0.627 0.348 0.042 Fe
0.652 0.695 0.279 Fe
0.059 0.711 0.838 P
0.289 0.127 0.348 P
0.779 0.941 0.652 P
0.873 0.221 0.162 P
0.005 0.884 0.204 O
0.074 0.266 0.729 O
0.111 0.668 0.676 O
0.116 0.320 0.121 O
0.175 0.706 0.991 O
0.199 0.995 0.879 O
0.294 0.285 0.469 O
0.332 0.008 0.443 O
0.537 0.346 0.271 O
0.565 0.889 0.557 O
0.654 0.926 0.192 O
0.680 0.801 0.796 O
0.715 0.183 0.009 O
0.734 0.463 0.808 O
0.817 0.825 0.531 O
0.992 0.435 0.324 O
0.500 0.500 0.000 F
```

Most intense lines, 5° ≤ 2θ ≤ 70°, in order of rising 2θ:
- 2θ 11.3, rel. 86.2
- 2θ 15.9, rel. 25.0
- 2θ 18.4, rel. 44.7
- 2θ 24.4, rel. 100.0
- 2θ 25.3, rel. 65.8
- 2θ 29.3, rel. 51.4
- 2θ 33.5, rel. 89.8
- 2θ 37.3, rel. 85.6
- 2θ 44.1, rel. 71.5
- 2θ 50.1, rel. 24.5

***

# Li9Mn2Co5O16
Calculated powder diffraction line list, CuKα. Input: a crystal structure in the Materials Project, relaxed with GGA+U.

Structure:
```
Li9Mn2Co5O16
1.0
5.813 0.000 0.000
2.889 5.063 0.000
1.499 0.833 9.631
Li Mn Co O
9 2 5 16
direct
0.000 0.000 0.000 Li
0.002 0.489 0.002 Li
0.247 0.246 0.510 Li
0.256 0.738 0.511 Li
0.507 0.989 0.003 Li
0.516 0.478 0.001 Li
0.762 0.237 0.512 Li
0.770 0.720 0.518 Li
0.882 0.362 0.757 Li
0.131 0.114 0.256 Mn
0.383 0.862 0.757 Mn
0.132 0.614 0.257 Co
0.383 0.362 0.757 Co
0.630 0.614 0.258 Co
0.632 0.111 0.258 Co
0.882 0.862 0.758 Co
0.059 0.575 0.648 O
0.075 0.026 0.650 O
0.190 0.693 0.869 O
0.217 0.167 0.865 O
0.315 0.287 0.141 O
0.315 0.817 0.142 O
0.425 0.937 0.374 O
0.460 0.420 0.374 O
0.549 0.558 0.647 O
0.576 0.030 0.645 O
0.689 0.697 0.865 O
0.705 0.151 0.866 O
0.804 0.801 0.142 O
0.834 0.292 0.138 O
0.948 0.409 0.375 O
0.948 0.942 0.372 O
```

Most intense lines, 5° ≤ 2θ ≤ 70°, in order of rising 2θ:
- 2θ 18.4, rel. 100.0
- 2θ 36.1, rel. 27.6
- 2θ 36.3, rel. 12.9
- 2θ 37.8, rel. 7.5
- 2θ 43.7, rel. 55.0
- 2θ 43.9, rel. 26.9
- 2θ 63.2, rel. 7.5
- 2θ 63.3, rel. 7.4
- 2θ 63.7, rel. 7.4
- 2θ 64.1, rel. 7.4

***

# MgV8O8F8
Calculated powder diffraction line list, CuKα. Input: a crystal structure in the Materials Project, relaxed with GGA+U.

Structure:
```
MgV8O8F8
1.0
4.983 0.000 0.000
-0.281 5.686 0.000
-0.211 -1.193 10.360
Mg V O F
1 8 8 8
direct
0.000 0.000 0.000 Mg
0.026 0.120 0.411 V
0.487 0.122 0.903 V
0.495 0.876 0.152 V
0.505 0.357 0.638 V
0.521 0.619 0.390 V
0.984 0.411 0.167 V
0.987 0.564 0.868 V
0.996 0.857 0.646 V
0.168 0.906 0.828 O
0.183 0.403 0.329 O
0.196 0.143 0.579 O
0.324 0.163 0.071 O
0.680 0.591 0.223 O
0.803 0.569 0.696 O
0.809 0.849 0.470 O
0.828 0.299 0.975 O
0.139 0.691 0.071 F
0.318 0.906 0.332 F
0.320 0.640 0.570 F
0.343 0.403 0.821 F
0.665 0.812 0.963 F
0.680 0.080 0.723 F
0.685 0.325 0.460 F
0.850 0.075 0.212 F
```

Most intense lines, 5° ≤ 2θ ≤ 70°, in order of rising 2θ:
- 2θ 25.2, rel. 100.0
- 2θ 26.7, rel. 95.1
- 2θ 33.9, rel. 26.9
- 2θ 34.1, rel. 24.7
- 2θ 34.4, rel. 31.0
- 2θ 34.6, rel. 26.4
- 2θ 50.8, rel. 24.3
- 2θ 51.6, rel. 23.7
- 2θ 51.8, rel. 21.6
- 2θ 59.5, rel. 23.0